The following is a simulated powder diffraction line list of Tb7PrTh3. It was derived from the PBE geometry in Alexandria, using Cu Kα.
Peak positions follow from Bragg's law for the DFT cell and can differ from measured ones.

Cell and atoms:
Lattice parameters (Å, degrees): 7.1015 7.1015 8.6195 90.00 90.00 120.00
Space group P3m1 (No. 156)
Unique sites:
Tb  0.0000  0.0000  0.0000 (multiplicity 1)
Tb  0.1650  0.3301  0.6580 (multiplicity 3)
Tb  0.5009  0.0018  0.9991 (multiplicity 3)
Pr  0.6667  0.3333  0.6545 (multiplicity 1)
Th  0.3312  0.1656  0.3266 (multiplicity 3)

Most intense lines, 2θ from 15° to 90°, sorted by position:
| two_theta | Rel. int. | (hkl) |
| --- | --- | --- |
| 30.87 | 100 | 2 0 1 |
| 31.13 | 32 | 0 0 3 |
| 35.87 | 67 | 0 2 2 |
| 51.47 | 24 | 2 2 0 |
| 51.81 | 24 | 2 0 4 |
| 61.24 | 14 | 0 4 1 |
| 61.39 | 29 | 2 2 3 |
| 61.68 | 14 | 0 2 5 |

***

The following is a simulated powder diffraction line list of Tb5Pr8Th. It was derived from the PBE geometry in Alexandria, using Cu Kα.
Peak positions follow from Bragg's law for the DFT cell and can differ from measured ones.

Cell and atoms:
Lattice parameters (Å, degrees): 8.0598 8.1019 9.5922 114.67 114.69 90.10
Space group P1 (No. 1)
Unique sites:
Tb  0.0000  0.0000  0.0000 (multiplicity 1)
Tb  0.0634  0.4514  0.3260 (multiplicity 1)
Tb  0.3257  0.3146  0.6619 (multiplicity 1)
Tb  0.5326  0.7200  0.6623 (multiplicity 1)
Tb  0.8748  0.0628  0.3368 (multiplicity 1)
Pr  0.1262  0.9272  0.6597 (multiplicity 1)
Pr  0.2591  0.8482  0.3232 (multiplicity 1)
Pr  0.4627  0.2661  0.3388 (multiplicity 1)
Pr  0.5892  0.1806  0.0003 (multiplicity 1)
Pr  0.6602  0.6525  0.3302 (multiplicity 1)
Pr  0.7334  0.1250  0.6706 (multiplicity 1)
Pr  0.7955  0.5871  0.9974 (multiplicity 1)
Pr  0.9413  0.5274  0.6749 (multiplicity 1)
Th  0.1956  0.3856  0.9986 (multiplicity 1)

Most intense lines, 2θ from 15° to 90°, sorted by position:
| two_theta | Rel. int. | (hkl) |
| --- | --- | --- |
| 30.10 | 34 | 1 2 0 |
| 30.23 | 100 | 2 -1 1 |
| 34.78 | 23 | 0 0 3 |
| 35.02 | 23 | 1 -3 1 |
| 35.21 | 22 | 3 1 -2 |
| 50.27 | 16 | 1 -3 4 |
| 50.45 | 16 | 3 1 -5 |
| 59.95 | 14 | 3 -4 2 |

***

The following is a simulated powder diffraction line list of Tb6Pr3Th2. It was derived from the PBE geometry in Alexandria, using Cu Kα.
Peak positions follow from Bragg's law for the DFT cell and can differ from measured ones.

Cell and atoms:
Lattice parameters (Å, degrees): 3.6127 3.6127 96.5182 90.00 90.00 120.00
Space group R-3m (No. 166, hexagonal axes)
Unique sites:
Tb  0.0000  0.0000  0.0927 (multiplicity 6)
Tb  0.0000  0.0000  0.1823 (multiplicity 6)
Tb  0.0000  0.0000  0.3641 (multiplicity 6)
Pr  0.0000  0.0000  0.0000 (multiplicity 3)
Pr  0.0000  0.0000  0.2721 (multiplicity 6)
Th  0.0000  0.0000  0.4553 (multiplicity 6)

Most intense lines, 2θ from 15° to 90°, sorted by position:
| two_theta | Rel. int. | (hkl) |
| --- | --- | --- |
| 30.33 | 100 | 0 1 11 |
| 30.57 | 32 | 0 0 33 |
| 35.23 | 67 | 1 0 22 |
| 50.53 | 25 | 1 1 0 |
| 50.84 | 23 | 0 1 44 |
| 60.08 | 15 | 2 0 11 |
| 60.21 | 28 | 1 1 33 |
| 60.49 | 13 | 1 0 55 |